Entry 1:
This entry pairs a crystal structure of Li2Si2O5 with its theoretical XRD peak list. Radiation: Cu Kα (weighted mean of Kα1 and Kα2). Structure: a DFT-relaxed cell (PBE, the Materials Project).

Peak list (10 most intense, 2θ from 10° to 90°, low angle first)
(hkl)	d_spacing	Position (°2θ)	I/Imax
1 0 2	4.529	19.60	64.7
0 0 4	3.699	24.06	51.1
1 1 1	3.592	24.78	100.0
1 0 4	3.107	28.73	29.5
2 0 0	2.864	31.23	12.9
1 1 4	2.617	34.27	10.1
0 2 0	2.427	37.04	32.6
2 1 2	2.340	38.47	20.9
1 0 6	2.265	39.80	16.1
2 3 2	1.384	67.70	13.1

Atomic structure:
Unit cell a=5.728 b=4.854 c=14.794 alpha=90.00 beta=90.00 gamma=90.00
Space group Pbcn (No. 60)
Asymmetric unit:
Li (0.099, 0.191, 0.051) [8 per cell]
Si (0.094, 0.306, 0.852) [8 per cell]
O (0.000, 0.244, 0.750) [4 per cell]
O (0.076, 0.211, 0.568) [8 per cell]
O (0.151, 0.359, 0.361) [8 per cell]

Entry 2:
This entry pairs a crystal structure of SrLi2SiO4 with its theoretical XRD peak list. Radiation: Cu Kα (weighted mean of Kα1 and Kα2). Structure: a DFT-relaxed cell (PBE, the Materials Project).

Peak list (10 most intense, 2θ from 10° to 90°, low angle first)
(hkl)	d_spacing	Position (°2θ)	I/Imax
0 1 1	4.154	21.39	31.8
0 1 2	3.606	24.69	100.0
1 0 3	3.036	29.42	21.0
1 0 4	2.559	35.07	31.3
1 1 0	2.541	35.33	40.6
1 1 2	2.356	38.20	15.4
0 1 5	2.184	41.33	28.1
1 1 3	2.173	41.56	15.3
2 0 2	2.077	43.58	15.5
0 2 3	1.948	46.62	28.4

Atomic structure:
Unit cell a=5.0812 b=5.0812 c=12.5812 alpha=90.00 beta=90.00 gamma=120.00
Space group P3_121 (No. 152)
Asymmetric unit:
Sr (0.0000, 0.4193, 0.1667) [3 per cell]
Li (0.0721, 0.4080, 0.9213) [6 per cell]
Si (0.0000, 0.2773, 0.6667) [3 per cell]
O (0.0358, 0.4852, 0.5603) [6 per cell]
O (0.0666, 0.7610, 0.9960) [6 per cell]

Entry 3:
This entry pairs a crystal structure of LiTaSiO5 with its theoretical XRD peak list. Radiation: Cu Kα (weighted mean of Kα1 and Kα2). Structure: a DFT-relaxed cell (PBE, the Materials Project).

Peak list (10 most intense, 2θ from 10° to 90°, low angle first)
(hkl)	d_spacing	Position (°2θ)	I/Imax
1 1 0	5.061	17.52	100.0
0 2 0	3.995	22.25	34.2
1 1 -2	3.410	26.13	73.0
2 0 0	3.270	27.27	37.8
0 2 2	2.540	35.34	15.2
1 3 0	2.467	36.42	23.1
1 1 2	2.378	37.83	13.7
3 1 -2	2.343	38.42	13.9
3 1 0	2.103	43.00	16.0
0 4 2	1.706	53.73	22.6

Atomic structure:
Unit cell a=7.496 b=7.990 c=7.542 alpha=90.00 beta=119.25 gamma=90.00
Space group P2_1/c (No. 14)
Asymmetric unit:
Li (0.250, 0.068, 0.194) [4 per cell]
Ta (0.252, 0.740, 0.991) [4 per cell]
Si (0.251, 0.108, 0.758) [4 per cell]
O (0.055, 0.235, 0.645) [4 per cell]
O (0.239, 0.510, 0.430) [4 per cell]
O (0.249, 0.672, 0.747) [4 per cell]
O (0.269, 0.514, 0.092) [4 per cell]
O (0.443, 0.240, 0.855) [4 per cell]

Entry 4:
This entry pairs a crystal structure of LiTiSi4O10 with its theoretical XRD peak list. Radiation: Cu Kα (weighted mean of Kα1 and Kα2). Structure: a DFT-relaxed cell (PBE, the Materials Project).

Peak list (10 most intense, 2θ from 10° to 90°, low angle first)
(hkl)	d_spacing	Position (°2θ)	I/Imax
0 1 1	6.075	14.58	55.7
1 1 1	3.861	23.04	51.5
1 0 2	3.802	23.40	100.0
0 2 0	3.553	25.06	25.7
0 1 3	3.421	26.05	46.0
1 1 2	3.352	26.59	46.7
0 2 2	3.038	29.41	59.3
1 2 2	2.596	34.55	31.0
1 0 4	2.526	35.54	38.5
1 2 3	2.326	38.72	28.2

Atomic structure:
Unit cell a=5.000 b=7.107 c=11.708 alpha=90.00 beta=90.00 gamma=90.00
Space group Pnc2 (No. 30)
Asymmetric unit:
Li (0.000, 0.000, 0.000) [2 per cell]
Ti (0.500, 0.000, 0.081) [2 per cell]
Si (0.084, 0.210, 0.718) [4 per cell]
Si (0.417, 0.712, 0.871) [4 per cell]
O (0.000, 0.000, 0.674) [2 per cell]
O (0.190, 0.691, 0.769) [4 per cell]
O (0.203, 0.162, 0.115) [4 per cell]
O (0.304, 0.665, 0.477) [4 per cell]
O (0.312, 0.188, 0.818) [4 per cell]
O (0.500, 0.000, 0.412) [2 per cell]

Entry 5:
This entry pairs a crystal structure of LiTiSi4O10 with its theoretical XRD peak list. Radiation: Cu Kα (weighted mean of Kα1 and Kα2). Structure: a DFT-relaxed cell (PBE, the Materials Project).

Peak list (10 most intense, 2θ from 10° to 90°, low angle first)
(hkl)	d_spacing	Position (°2θ)	I/Imax
1 0 2	3.774	23.57	100.0
2 0 0	3.743	23.77	12.4
2 1 -1	3.190	27.97	4.2
1 1 -3	3.095	28.85	8.2
2 0 -4	2.698	33.20	4.1
1 1 4	2.099	43.09	7.4
1 2 -4	1.947	46.64	5.6
4 0 0	1.871	48.66	4.9
0 3 2	1.670	55.00	4.6
3 2 -6	1.485	62.53	4.9

Atomic structure:
Unit cell a=8.017 b=5.267 c=11.572 alpha=90.00 beta=111.01 gamma=90.00
Space group P2/c (No. 13)
Asymmetric unit:
Li (0.000, 0.246, 0.250) [2 per cell]
Ti (0.000, 0.252, 0.750) [2 per cell]
Si (0.299, 0.036, 0.500) [4 per cell]
Si (0.299, 0.462, 0.151) [4 per cell]
O (0.151, 0.007, 0.862) [4 per cell]
O (0.153, 0.500, 0.218) [4 per cell]
O (0.271, 0.172, 0.097) [4 per cell]
O (0.271, 0.326, 0.542) [4 per cell]
O (0.500, 0.000, 0.000) [2 per cell]
O (0.500, 0.497, 0.250) [2 per cell]

What is the formula in the second record?
SrLi2SiO4